1.
Simulated powder X-ray diffraction pattern of TbDyHoTh for CuKα, from a DFT-relaxed cell (GGA-PBE, Alexandria).
Kinematic intensities with the Lorentz-polarization factor, no thermal factor.

Peak list (8 most intense, 10° ≤ 2θ ≤ 80°, low angle first)
two_theta	Rel. int.	index
29.24	38	0 1 2
31.33	48	0 0 12
31.65	100	0 1 5
34.21	82	1 0 7
39.16	18	1 0 10
50.96	37	1 1 0
54.27	22	0 1 17
61.05	43	1 1 12

Unit cell a=3.5839 b=3.5839 c=34.2606 alpha=90.00 beta=90.00 gamma=120.00
Space group R3m (No. 160, hexagonal axes)
Inequivalent atoms, fractional coordinates:
Tb 0.0000 0.0000 0.0000
Dy 0.0000 0.0000 0.8318
Ho 0.0000 0.0000 0.5817
Th 0.0000 0.0000 0.4163

---

2.
Simulated powder X-ray diffraction pattern of RbScB2 for CuKα, from a DFT-relaxed cell (GGA-PBE, Alexandria).
Kinematic intensities with the Lorentz-polarization factor, no thermal factor.

Peak list (8 most intense, 10° ≤ 2θ ≤ 80°, low angle first)
two_theta	Rel. int.	index
21.27	41	0 0 4
29.43	100	1 1 2
39.11	22	2 0 0
42.72	36	1 1 6
44.94	30	2 0 4
61.07	14	2 2 4
64.98	19	3 1 2
73.34	13	3 1 6

Unit cell a=4.607 b=4.607 c=16.705 alpha=90.00 beta=90.00 gamma=90.00
Space group I4_1/amd (No. 141, origin choice 2)
Inequivalent atoms, fractional coordinates:
Rb 0.000 0.250 0.375
Sc 0.000 0.250 0.875
B 0.000 0.000 0.000